Entry 1:
Computed powder X-ray diffraction pattern of YAl3PdAu for CuKα, from a cell relaxed with PBE.

Principal peaks in the range 10 to 90 degrees two-theta, most intense first:
(hkl)	2θ (°)	intensity
0 2 1	20.52	100.0
2 0 2	42.81	86.5
1 3 0	25.52	79.0
2 0 0	29.42	76.1
1 5 1	41.25	69.2
0 0 2	30.40	67.7
1 3 2	40.10	60.3
2 2 1	36.13	50.0
1 5 0	38.17	36.4
4 0 2	69.76	29.8

```
data_YAl3PdAu
_space_group_name_H-M_alt 'C m c m'
_space_group_IT_number 63
_space_group_name_Hall '-C 2c 2'
_cell_length_a 6.073
_cell_length_b 12.793
_cell_length_c 5.880
_cell_angle_alpha 90.00
_cell_angle_beta 90.00
_cell_angle_gamma 90.00
loop_
_atom_site_label
_atom_site_type_symbol
_atom_site_fract_x
_atom_site_fract_y
_atom_site_fract_z
Y1 Y 0.000 0.205 0.250
Al1 Al 0.000 0.365 0.750
Al2 Al 0.213 0.000 0.000
Pd1 Pd 0.000 0.416 0.250
Au1 Au 0.000 0.158 0.750
```

---

Entry 2:
Computed powder X-ray diffraction pattern of Sb5P6O24 for CuKα, from a cell relaxed with PBE.

Principal peaks in the range 10 to 90 degrees two-theta, most intense first:
(hkl)	2θ (°)	intensity
1 0 0	12.16	100.0
-2 2 1	28.44	93.0
0 2 -3	31.63	70.2
1 -2 1	20.92	67.8
1 1 -1	18.00	66.9
1 0 -2	21.32	64.2
1 0 1	20.38	62.9
-1 2 1	28.27	51.2
1 -1 2	25.81	41.4
2 -1 1	26.30	35.5

```
data_Sb5P6O24
_space_group_name_H-M_alt 'P 1'
_space_group_IT_number 1
_space_group_name_Hall 'P 1'
_cell_length_a 8.684
_cell_length_b 8.784
_cell_length_c 9.003
_cell_angle_alpha 111.70
_cell_angle_beta 104.21
_cell_angle_gamma 111.28
loop_
_atom_site_label
_atom_site_type_symbol
_atom_site_fract_x
_atom_site_fract_y
_atom_site_fract_z
Sb1 Sb 0.000 0.000 0.000
Sb2 Sb 0.039 0.511 0.969
Sb3 Sb 0.256 0.878 0.557
Sb4 Sb 0.563 0.380 0.234
Sb5 Sb 0.882 0.162 0.409
P1 P 0.142 0.187 0.748
P2 P 0.253 0.452 0.366
P3 P 0.423 0.978 0.280
P4 P 0.675 0.121 0.906
P5 P 0.858 0.734 0.205
P6 P 0.926 0.627 0.647
O1 O 0.014 0.761 0.359
O2 O 0.113 0.316 0.167
O3 O 0.120 0.752 0.666
O4 O 0.127 0.104 0.871
O5 O 0.201 0.373 0.481
O6 O 0.219 0.399 0.846
O7 O 0.259 0.811 0.106
O8 O 0.261 0.648 0.412
O9 O 0.268 0.129 0.669
O10 O 0.397 0.998 0.451
O11 O 0.442 0.164 0.284
O12 O 0.455 0.503 0.388
O13 O 0.469 0.970 0.774
O14 O 0.600 0.968 0.302
O15 O 0.675 0.623 0.209
O16 O 0.686 0.238 0.092
O17 O 0.760 0.997 0.927
O18 O 0.766 0.242 0.835
O19 O 0.795 0.484 0.444
O20 O 0.850 0.745 0.736
O21 O 0.866 0.638 0.029
O22 O 0.885 0.931 0.235
O23 O 0.945 0.082 0.590
O24 O 0.950 0.500 0.725
```

---

Entry 3:
Computed powder X-ray diffraction pattern of TbIn12Ni4 for CuKα, from a cell relaxed with PBE.

Principal peaks in the range 10 to 90 degrees two-theta, most intense first:
(hkl)	2θ (°)	intensity
3 1 0	30.07	100.0
3 2 1	35.75	65.6
5 0 3	57.15	27.9
4 2 2	47.39	26.4
5 3 2	60.75	23.6
6 6 0	88.21	20.9
6 3 1	67.60	16.2
4 1 3	49.45	14.3
6 3 5	86.67	13.9
4 0 2	43.04	12.3

```
data_TbIn12Ni4
_space_group_name_H-M_alt 'I m -3'
_space_group_IT_number 204
_space_group_name_Hall '-I 2 2 3'
_cell_length_a 9.399
_cell_length_b 9.399
_cell_length_c 9.399
_cell_angle_alpha 90.00
_cell_angle_beta 90.00
_cell_angle_gamma 90.00
loop_
_atom_site_label
_atom_site_type_symbol
_atom_site_fract_x
_atom_site_fract_y
_atom_site_fract_z
Tb1 Tb 0.000 0.000 0.000
In1 In 0.000 0.178 0.322
Ni1 Ni 0.250 0.250 0.250
```

---

Entry 4:
Computed powder X-ray diffraction pattern of Zn2S13 for CuKα, from a cell relaxed with PBE.

Principal peaks in the range 10 to 90 degrees two-theta, most intense first:
(hkl)	2θ (°)	intensity
1 1 1	16.35	100.0
1 1 -1	14.43	45.7
2 2 0	26.00	35.8
1 3 -1	32.35	30.0
2 0 1	19.78	24.4
1 1 2	22.63	15.4
2 0 4	41.08	14.9
0 4 0	41.19	13.2
4 0 0	32.62	12.4
2 0 -5	42.43	12.3

```
data_Zn2S13
_space_group_name_H-M_alt 'C 1 m 1'
_space_group_IT_number 8
_space_group_name_Hall 'C -2y'
_cell_length_a 11.259
_cell_length_b 8.769
_cell_length_c 10.801
_cell_angle_alpha 90.00
_cell_angle_beta 102.56
_cell_angle_gamma 90.00
loop_
_atom_site_label
_atom_site_type_symbol
_atom_site_fract_x
_atom_site_fract_y
_atom_site_fract_z
Zn1 Zn 0.000 0.000 0.000
Zn2 Zn 0.203 0.000 0.887
S1 S 0.008 0.000 0.792
S2 S 0.081 0.500 0.445
S3 S 0.171 0.500 0.620
S4 S 0.175 0.500 0.316
S5 S 0.216 0.000 0.113
S6 S 0.242 0.279 0.101
S7 S 0.332 0.205 0.843
S8 S 0.404 0.260 0.053
S9 S 0.460 0.129 0.760
```

---

Entry 5:
Computed powder X-ray diffraction pattern of Mn3Ag5Br16 for CuKα, from a cell relaxed with PBE.

Principal peaks in the range 10 to 90 degrees two-theta, most intense first:
(hkl)	2θ (°)	intensity
2 2 2	30.65	100.0
2 2 -3	32.44	94.2
0 0 2	13.72	82.5
4 0 -2	26.62	71.4
6 2 0	44.70	70.8
1 1 -1	14.32	68.5
2 2 -2	28.86	67.7
2 2 3	34.84	66.8
0 4 0	47.22	58.9
4 0 2	30.34	54.1

```
data_Mn3Ag5Br16
_space_group_name_H-M_alt 'C 1 m 1'
_space_group_IT_number 8
_space_group_name_Hall 'C -2y'
_cell_length_a 14.472
_cell_length_b 7.699
_cell_length_c 13.057
_cell_angle_alpha 90.00
_cell_angle_beta 98.65
_cell_angle_gamma 90.00
loop_
_atom_site_label
_atom_site_type_symbol
_atom_site_fract_x
_atom_site_fract_y
_atom_site_fract_z
Mn1 Mn 0.000 0.000 0.000
Mn2 Mn 0.394 0.253 0.506
Ag1 Ag 0.144 0.500 0.518
Ag2 Ag 0.192 0.000 0.252
Ag3 Ag 0.250 0.247 0.996
Ag4 Ag 0.495 0.000 0.778
Br1 Br 0.048 0.249 0.616
Br2 Br 0.082 0.227 0.117
Br3 Br 0.124 0.000 0.889
Br4 Br 0.175 0.500 0.872
Br5 Br 0.235 0.251 0.401
Br6 Br 0.330 0.000 0.120
Br7 Br 0.336 0.500 0.622
Br8 Br 0.337 0.000 0.626
Br9 Br 0.373 0.500 0.106
Br10 Br 0.420 0.270 0.890
Br11 Br 0.446 0.000 0.391
Br12 Br 0.449 0.500 0.395
```

---

Entry 6:
Computed powder X-ray diffraction pattern of BaTiH for CuKα, from a cell relaxed with PBE.

Principal peaks in the range 10 to 90 degrees two-theta, most intense first:
(hkl)	2θ (°)	intensity
3 1 1	37.41	100.0
1 1 1	30.60	86.2
0 0 2	29.65	67.9
3 0 0	22.29	49.1
6 1 1	55.24	38.8
0 2 0	52.61	31.4
2 1 1	33.29	30.8
4 0 0	29.87	24.0
3 2 0	57.83	21.9
4 0 2	42.59	21.4

```
data_BaTiH
_space_group_name_H-M_alt 'A m m 2'
_space_group_IT_number 38
_space_group_name_Hall 'A 2 -2'
_cell_length_a 11.964
_cell_length_b 3.482
_cell_length_c 6.021
_cell_angle_alpha 90.00
_cell_angle_beta 90.00
_cell_angle_gamma 90.00
loop_
_atom_site_label
_atom_site_type_symbol
_atom_site_fract_x
_atom_site_fract_y
_atom_site_fract_z
Ba1 Ba 0.159 0.000 0.000
Ti1 Ti 0.405 0.000 0.663
H1 H 0.000 0.000 0.667
H2 H 0.500 0.000 0.995
```